The following is a computed PXRD pattern of Zr2Mn12GaSn11. It was derived from a cell relaxed with GGA-PBE, using Cu Kα (weighted mean of Kα1 and Kα2).

The 6 most intense peaks (10 to 90 degrees two-theta), sorted by position:
hkl 1 1 0, 2θ 33.4, I 100
hkl 1 0 6, 2θ 35.9, I 45
hkl 1 1 4, 2θ 39.2, I 78
hkl 2 0 4, 2θ 43.9, I 72
hkl 2 2 0, 2θ 70.1, I 31
hkl 1 1 12, 2θ 72.7, I 37

Structural model:
Cell lengths 5.3719, 5.3719, 17.8254 Å; angles 90.00, 90.00, 120.00 degrees
Space group P-6m2 (No. 187)
Inequivalent atoms, fractional coordinates:
Zr (0.0000, 0.0000, 0.0000) x1
Zr (0.0000, 0.0000, 0.5000) x1
Mn (0.0082, 0.5041, 0.1202) x6
Mn (0.5004, 0.0007, 0.3752) x6
Ga (0.3333, 0.6667, 0.0000) x1
Sn (0.0000, 0.0000, 0.1634) x2
Sn (0.0000, 0.0000, 0.3349) x2
Sn (0.3333, 0.6667, 0.2484) x2
Sn (0.3333, 0.6667, 0.5000) x1
Sn (0.6667, 0.3333, 0.0000) x1
Sn (0.6667, 0.3333, 0.2469) x2
Sn (0.6667, 0.3333, 0.5000) x1

The following is a computed PXRD pattern of HfTi6Tl. It was derived from a cell relaxed with GGA-PBE, using Cu Kα (weighted mean of Kα1 and Kα2).

The 6 most intense peaks (10 to 90 degrees two-theta), sorted by position:
hkl 0 1 2, 2θ 23.2, I 66
hkl 1 0 4, 2θ 26.7, I 44
hkl 0 1 8, 2θ 37.7, I 100
hkl 1 1 0, 2θ 38.5, I 96
hkl 2 0 8, 2θ 55.0, I 32
hkl 1 2 8, 2θ 69.1, I 32

Structural model:
Cell lengths 4.6718, 4.6718, 23.6708 Å; angles 90.00, 90.00, 120.00 degrees
Space group R-3m (No. 166, hexagonal axes)
Inequivalent atoms, fractional coordinates:
Hf (0.0000, 0.0000, 0.0000) x3
Ti (0.0000, 0.0000, 0.1227) x6
Ti (0.0000, 0.0000, 0.2564) x6
Ti (0.0000, 0.0000, 0.3792) x6
Tl (0.0000, 0.0000, 0.5000) x3

The following is a computed PXRD pattern of ThSnH6Ru3. It was derived from a cell relaxed with GGA-PBE, using Cu Kα (weighted mean of Kα1 and Kα2).

The 6 most intense peaks (10 to 90 degrees two-theta), sorted by position:
hkl 1 1 0, 2θ 24.2, I 83
hkl 0 2 1, 2θ 30.5, I 91
hkl 0 0 3, 2θ 35.8, I 44
hkl 2 0 2, 2θ 37.0, I 100
hkl 1 2 2, 2θ 44.7, I 54
hkl 2 2 0, 2θ 49.6, I 40

Structural model:
Cell lengths 7.3492, 7.3492, 7.5344 Å; angles 90.00, 90.00, 120.00 degrees
Space group R3m (No. 160, hexagonal axes)
Inequivalent atoms, fractional coordinates:
Th (0.0000, 0.0000, 0.0000) x3
Sn (0.0000, 0.0000, 0.5925) x3
H (0.0268, 0.3457, 0.8202) x18
Ru (0.0689, 0.5345, 0.9828) x9

The following is a computed PXRD pattern of Zn2Ni5Pt. It was derived from a cell relaxed with GGA-PBE, using Cu Kα (weighted mean of Kα1 and Kα2).

The 6 most intense peaks (10 to 90 degrees two-theta), sorted by position:
hkl 1 1 0, 2θ 17.1, I 14
hkl 2 2 1, 2θ 42.9, I 100
hkl 0 4 0, 2θ 49.4, I 16
hkl 4 0 0, 2θ 49.8, I 16
hkl 0 0 2, 2θ 50.6, I 15
hkl 2 6 1, 2θ 88.1, I 12

Structural model:
Cell lengths 7.3206, 7.3754, 3.6097 Å; angles 90.00, 90.00, 90.00 degrees
Space group Cmmm (No. 65)
Inequivalent atoms, fractional coordinates:
Zn (0.2422, 0.0000, 0.0000) x4
Ni (0.0000, 0.0000, 0.5000) x2
Ni (0.0000, 0.2426, 0.0000) x4
Ni (0.2500, 0.2500, 0.5000) x4
Pt (0.0000, 0.5000, 0.5000) x2